Record 1
Structure and calculated PXRD pattern of NaAcSe4 (DFT lattice parameters and positions (PBE); copper Kα).

Principal peaks in the range 5° ≤ 2θ ≤ 70°, by intensity:
(3 1 1), 2θ 34.9, rel. 100; (2 2 0), 2θ 29.7, rel. 35; (5 1 1), 2θ 56.1, rel. 34; (2 2 2), 2θ 36.5, rel. 32; (2 0 0), 2θ 20.9, rel. 27; (1 1 1), 2θ 18.0, rel. 24

Structure:
```
data_NaAcSe4
_cell_length_a 8.5196
_cell_length_b 8.5196
_cell_length_c 8.5196
_cell_angle_alpha 90.00
_cell_angle_beta 90.00
_cell_angle_gamma 90.00
_space_group_name_H-M_alt 'F -4 3 m'
_space_group_IT_number 216
_space_group_name_Hall 'F -4 2 3'
loop_
_atom_site_label
_atom_site_type_symbol
_atom_site_fract_x
_atom_site_fract_y
_atom_site_fract_z
_atom_site_occupancy
Na1 Na 0.0000 0.0000 0.0000 1
Ac1 Ac 0.2500 0.2500 0.2500 1
Se1 Se 0.1252 0.1252 0.6252 1
```



Record 2
Structure and calculated PXRD pattern of NaAc2SnSe4 (DFT lattice parameters and positions (PBE); copper Kα).

Principal peaks in the range 5° ≤ 2θ ≤ 70°, by intensity:
(1 1 1), 2θ 28.4, rel. 100; (2 0 -2), 2θ 28.6, rel. 49; (1 1 -3), 2θ 40.1, rel. 40; (3 1 -1), 2θ 41.5, rel. 36; (1 0 0), 2θ 12.8, rel. 31; (2 2 -2), 2θ 49.1, rel. 22

Structure:
```
data_NaAc2SnSe4
_cell_length_a 7.4042
_cell_length_b 4.6180
_cell_length_c 7.7341
_cell_angle_alpha 90.00
_cell_angle_beta 111.06
_cell_angle_gamma 90.00
_space_group_name_H-M_alt 'P 1 2/m 1'
_space_group_IT_number 10
_space_group_name_Hall '-P 2y'
loop_
_atom_site_label
_atom_site_type_symbol
_atom_site_fract_x
_atom_site_fract_y
_atom_site_fract_z
_atom_site_occupancy
Na1 Na 0.0000 0.0000 0.0000 1
Ac1 Ac 0.5000 0.0000 0.5000 1
Ac2 Ac 0.5000 0.5000 0.0000 1
Sn1 Sn 0.0000 0.5000 0.5000 1
Se1 Se 0.2454 0.0000 0.7497 1
Se2 Se 0.2499 0.5000 0.2509 1
```



Record 3
Structure and calculated PXRD pattern of Na2AcZrSe4 (DFT lattice parameters and positions (PBE); copper Kα).

Principal peaks in the range 5° ≤ 2θ ≤ 70°, by intensity:
(1 1 1), 2θ 29.8, rel. 100; (0 0 1), 2θ 12.5, rel. 74; (2 0 -2), 2θ 29.7, rel. 50; (1 1 -3), 2θ 42.2, rel. 38; (3 1 -1), 2θ 42.9, rel. 33; (1 1 0), 2θ 25.0, rel. 24

Structure:
```
data_Na2AcZrSe4
_cell_length_a 7.3319
_cell_length_b 4.1516
_cell_length_c 7.4953
_cell_angle_alpha 90.00
_cell_angle_beta 108.61
_cell_angle_gamma 90.00
_space_group_name_H-M_alt 'P 1 2/m 1'
_space_group_IT_number 10
_space_group_name_Hall '-P 2y'
loop_
_atom_site_label
_atom_site_type_symbol
_atom_site_fract_x
_atom_site_fract_y
_atom_site_fract_z
_atom_site_occupancy
Na1 Na 0.0000 0.0000 0.0000 1
Na2 Na 0.5000 0.5000 0.0000 1
Ac1 Ac 0.0000 0.5000 0.5000 1
Zr1 Zr 0.5000 0.0000 0.5000 1
Se1 Se 0.2786 0.0000 0.7416 1
Se2 Se 0.2823 0.5000 0.2734 1
```



Record 4
Structure and calculated PXRD pattern of NaAcSi (DFT lattice parameters and positions (PBE); copper Kα).

Principal peaks in the range 5° ≤ 2θ ≤ 70°, by intensity:
(0 0 1), 2θ 7.9, rel. 100; (1 1 1), 2θ 32.5, rel. 51; (1 0 0), 2θ 20.7, rel. 39; (0 1 2), 2θ 27.2, rel. 33; (0 1 1), 2θ 23.4, rel. 32; (0 0 3), 2θ 23.9, rel. 24

Structure:
```
data_NaAcSi
_cell_length_a 4.3781
_cell_length_b 4.0406
_cell_length_c 11.3919
_cell_angle_alpha 90.00
_cell_angle_beta 100.84
_cell_angle_gamma 90.00
_space_group_name_H-M_alt 'P 1 21/m 1'
_space_group_IT_number 11
_space_group_name_Hall '-P 2yb'
loop_
_atom_site_label
_atom_site_type_symbol
_atom_site_fract_x
_atom_site_fract_y
_atom_site_fract_z
_atom_site_occupancy
Na1 Na 0.2052 0.2500 0.4130 1
Ac1 Ac 0.4209 0.2500 0.8383 1
Si1 Si 0.0300 0.2500 0.0614 1
```



Record 5
Structure and calculated PXRD pattern of Na3Ac4Sn4 (DFT lattice parameters and positions (PBE); copper Kα).

Principal peaks in the range 5° ≤ 2θ ≤ 70°, by intensity:
(1 2 3), 2θ 30.3, rel. 100; (1 2 1), 2θ 27.2, rel. 82; (1 0 1), 2θ 17.5, rel. 59; (0 0 6), 2θ 28.1, rel. 56; (1 2 5), 2θ 35.8, rel. 55; (0 0 2), 2θ 9.3, rel. 51

Structure:
```
data_Na3Ac4Sn4
_cell_length_a 5.2698
_cell_length_b 8.6064
_cell_length_c 19.0679
_cell_angle_alpha 90.00
_cell_angle_beta 90.00
_cell_angle_gamma 90.00
_space_group_name_H-M_alt 'I m m m'
_space_group_IT_number 71
_space_group_name_Hall '-I 2 2'
loop_
_atom_site_label
_atom_site_type_symbol
_atom_site_fract_x
_atom_site_fract_y
_atom_site_fract_z
_atom_site_occupancy
Na1 Na 0.0000 0.0000 0.0000 1
Na2 Na 0.0000 0.5000 0.0810 1
Ac1 Ac 0.0000 0.2648 0.3312 1
Sn1 Sn 0.0000 0.0000 0.1908 1
Sn2 Sn 0.0000 0.1744 0.5000 1
```



Record 6
Structure and calculated PXRD pattern of NaAc6Sn3 (DFT lattice parameters and positions (PBE); copper Kα).

Principal peaks in the range 5° ≤ 2θ ≤ 70°, by intensity:
(3 1 2), 2θ 28.9, rel. 100; (1 3 2), 2θ 29.4, rel. 79; (2 2 2), 2θ 27.4, rel. 65; (2 4 0), 2θ 31.3, rel. 59; (4 2 0), 2θ 30.6, rel. 42; (0 0 4), 2θ 38.9, rel. 33

Structure:
```
data_NaAc6Sn3
_cell_length_a 13.1657
_cell_length_b 12.6798
_cell_length_c 9.2552
_cell_angle_alpha 90.00
_cell_angle_beta 90.00
_cell_angle_gamma 90.00
_space_group_name_H-M_alt 'C m c m'
_space_group_IT_number 63
_space_group_name_Hall '-C 2c 2'
loop_
_atom_site_label
_atom_site_type_symbol
_atom_site_fract_x
_atom_site_fract_y
_atom_site_fract_z
_atom_site_occupancy
Na1 Na 0.0000 0.1257 0.2500 1
Ac1 Ac 0.0000 0.3484 0.5063 1
Ac2 Ac 0.1709 0.0000 0.0000 1
Ac3 Ac 0.2393 0.2414 0.7500 1
Sn1 Sn 0.0000 0.1348 0.7500 1
Sn2 Sn 0.1407 0.4979 0.7500 1
```



Record 7
Structure and calculated PXRD pattern of NaAc2Sn2 (DFT lattice parameters and positions (PBE); copper Kα).

Principal peaks in the range 5° ≤ 2θ ≤ 70°, by intensity:
(2 1 2), 2θ 29.9, rel. 100; (2 0 2), 2θ 27.9, rel. 20; (1 1 0), 2θ 14.7, rel. 20; (3 1 0), 2θ 33.3, rel. 19; (4 1 2), 2θ 48.0, rel. 16; (0 0 4), 2θ 37.1, rel. 15

Structure:
```
data_NaAc2Sn2
_cell_length_a 8.5012
_cell_length_b 8.5012
_cell_length_c 9.6865
_cell_angle_alpha 90.00
_cell_angle_beta 90.00
_cell_angle_gamma 90.00
_space_group_name_H-M_alt 'P 4/m n c'
_space_group_IT_number 128
_space_group_name_Hall '-P 4 2n'
loop_
_atom_site_label
_atom_site_type_symbol
_atom_site_fract_x
_atom_site_fract_y
_atom_site_fract_z
_atom_site_occupancy
Na1 Na 0.0000 0.0000 0.2495 1
Ac1 Ac 0.1747 0.3255 0.0000 1
Sn1 Sn 0.1241 0.6241 0.2500 1
```



Record 8
Structure and calculated PXRD pattern of NaAc2Sn2 (DFT lattice parameters and positions (PBE); copper Kα).

Principal peaks in the range 5° ≤ 2θ ≤ 70°, by intensity:
(0 0 2), 2θ 26.5, rel. 100; (0 4 0), 2θ 27.4, rel. 84; (2 1 1), 2θ 25.0, rel. 83; (0 4 2), 2θ 38.5, rel. 80; (1 1 0), 2θ 12.1, rel. 71; (3 3 2), 2θ 46.0, rel. 59

Structure:
```
data_NaAc2Sn2
_cell_length_a 8.8540
_cell_length_b 13.0229
_cell_length_c 6.7158
_cell_angle_alpha 90.00
_cell_angle_beta 90.00
_cell_angle_gamma 90.00
_space_group_name_H-M_alt 'I b a m'
_space_group_IT_number 72
_space_group_name_Hall '-I 2 2c'
loop_
_atom_site_label
_atom_site_type_symbol
_atom_site_fract_x
_atom_site_fract_y
_atom_site_fract_z
_atom_site_occupancy
Na1 Na 0.0000 0.0000 0.2500 1
Ac1 Ac 0.1517 0.3611 0.0000 1
Sn1 Sn 0.2307 0.3839 0.5000 1
```



Record 9
Structure and calculated PXRD pattern of NaAc7Sn4 (DFT lattice parameters and positions (PBE); copper Kα).

Principal peaks in the range 5° ≤ 2θ ≤ 70°, by intensity:
(3 1 1), 2θ 31.0, rel. 100; (5 1 -3), 2θ 32.0, rel. 80; (0 2 0), 2θ 29.6, rel. 62; (1 1 -2), 2θ 21.4, rel. 60; (2 0 -4), 2θ 31.1, rel. 39; (4 0 -1), 2θ 22.9, rel. 34

Structure:
```
data_NaAc7Sn4
_cell_length_a 16.3449
_cell_length_b 6.0261
_cell_length_c 11.9831
_cell_angle_alpha 90.00
_cell_angle_beta 126.90
_cell_angle_gamma 90.00
_space_group_name_H-M_alt 'C 1 2/m 1'
_space_group_IT_number 12
_space_group_name_Hall '-C 2y'
loop_
_atom_site_label
_atom_site_type_symbol
_atom_site_fract_x
_atom_site_fract_y
_atom_site_fract_z
_atom_site_occupancy
Na1 Na 0.0000 0.0000 0.0000 1
Ac1 Ac 0.0000 0.5000 0.0000 1
Ac2 Ac 0.0764 0.0000 0.3355 1
Ac3 Ac 0.1544 0.5000 0.5788 1
Ac4 Ac 0.2088 0.0000 0.8664 1
Sn1 Sn 0.0755 0.5000 0.7820 1
Sn2 Sn 0.2109 0.5000 0.3346 1
```



Record 10
Structure and calculated PXRD pattern of NaAc4Sn4 (DFT lattice parameters and positions (PBE); copper Kα).

Principal peaks in the range 5° ≤ 2θ ≤ 70°, by intensity:
(1 3 0), 2θ 29.3, rel. 100; (1 2 2), 2θ 33.2, rel. 59; (1 0 2), 2θ 27.4, rel. 46; (2 3 2), 2θ 42.7, rel. 31; (4 1 2), 2θ 46.9, rel. 30; (4 2 0), 2θ 41.9, rel. 22

Structure:
```
data_NaAc4Sn4
_cell_length_a 9.6493
_cell_length_b 9.6493
_cell_length_c 6.9069
_cell_angle_alpha 90.00
_cell_angle_beta 90.00
_cell_angle_gamma 90.00
_space_group_name_H-M_alt 'P 42/n'
_space_group_IT_number 86
loop_
_space_group_symop_operation_xyz
'x,y,z'
'-x,-y,-z'
'-y,x+1/2,z+1/2'
'y,-x+1/2,-z+1/2'
'-x+1/2,-y+1/2,z'
'x+1/2,y+1/2,-z'
'y+1/2,-x,z+1/2'
'-y+1/2,x,-z+1/2'
loop_
_atom_site_label
_atom_site_type_symbol
_atom_site_fract_x
_atom_site_fract_y
_atom_site_fract_z
_atom_site_occupancy
Na1 Na 0.2500 0.2500 0.2500 1
Ac1 Ac 0.0340 0.6752 0.0996 1
Sn1 Sn 0.0007 0.6429 0.5877 1
```



Record 11
Structure and calculated PXRD pattern of NaAc3Sn12 (DFT lattice parameters and positions (PBE); copper Kα).

Principal peaks in the range 5° ≤ 2θ ≤ 70°, by intensity:
(1 1 4), 2θ 31.8, rel. 100; (2 0 0), 2θ 37.0, rel. 35; (3 1 4), 2θ 63.4, rel. 30; (2 0 8), 2θ 53.0, rel. 23; (0 0 8), 2θ 36.7, rel. 16; (1 1 12), 2θ 63.0, rel. 13

Structure:
```
data_NaAc3Sn12
_cell_length_a 4.8642
_cell_length_b 4.8642
_cell_length_c 19.6147
_cell_angle_alpha 90.00
_cell_angle_beta 90.00
_cell_angle_gamma 90.00
_space_group_name_H-M_alt 'P 4/m m m'
_space_group_IT_number 123
_space_group_name_Hall '-P 4 2'
loop_
_atom_site_label
_atom_site_type_symbol
_atom_site_fract_x
_atom_site_fract_y
_atom_site_fract_z
_atom_site_occupancy
Na1 Na 0.0000 0.0000 0.0000 1
Ac1 Ac 0.0000 0.0000 0.2476 1
Ac2 Ac 0.0000 0.0000 0.5000 1
Sn1 Sn 0.0000 0.5000 0.1159 1
Sn2 Sn 0.0000 0.5000 0.3727 1
Sn3 Sn 0.5000 0.5000 0.0000 1
Sn4 Sn 0.5000 0.5000 0.2426 1
Sn5 Sn 0.5000 0.5000 0.5000 1
```



Record 12
Structure and calculated PXRD pattern of NaAc4Sn2 (DFT lattice parameters and positions (PBE); copper Kα).

Principal peaks in the range 5° ≤ 2θ ≤ 70°, by intensity:
(1 2 -1), 2θ 27.3, rel. 100; (2 0 1), 2θ 28.9, rel. 64; (0 0 3), 2θ 30.7, rel. 61; (0 2 2), 2θ 32.0, rel. 59; (1 0 -3), 2θ 28.1, rel. 53; (2 0 -2), 2θ 23.9, rel. 37

Structure:
```
data_NaAc4Sn2
_cell_length_a 8.3753
_cell_length_b 7.2843
_cell_length_c 9.5447
_cell_angle_alpha 90.00
_cell_angle_beta 113.71
_cell_angle_gamma 90.00
_space_group_name_H-M_alt 'P 1 21/m 1'
_space_group_IT_number 11
_space_group_name_Hall '-P 2yb'
loop_
_atom_site_label
_atom_site_type_symbol
_atom_site_fract_x
_atom_site_fract_y
_atom_site_fract_z
_atom_site_occupancy
Na1 Na 0.0725 0.2500 0.3141 1
Ac1 Ac 0.1720 0.7500 0.1188 1
Ac2 Ac 0.3165 0.0065 0.7756 1
Ac3 Ac 0.4973 0.2500 0.4709 1
Sn1 Sn 0.0823 0.7500 0.4333 1
Sn2 Sn 0.2790 0.2500 0.0804 1
```



What did the eleventh record say?
Structure and calculated PXRD pattern of NaAc3Sn12 (DFT lattice parameters and positions (PBE); copper Kα).

Principal peaks in the range 5° ≤ 2θ ≤ 70°, by intensity:
(1 1 4), 2θ 31.8, rel. 100; (2 0 0), 2θ 37.0, rel. 35; (3 1 4), 2θ 63.4, rel. 30; (2 0 8), 2θ 53.0, rel. 23; (0 0 8), 2θ 36.7, rel. 16; (1 1 12), 2θ 63.0, rel. 13

Structure:
```
data_NaAc3Sn12
_cell_length_a 4.8642
_cell_length_b 4.8642
_cell_length_c 19.6147
_cell_angle_alpha 90.00
_cell_angle_beta 90.00
_cell_angle_gamma 90.00
_space_group_name_H-M_alt 'P 4/m m m'
_space_group_IT_number 123
_space_group_name_Hall '-P 4 2'
loop_
_atom_site_label
_atom_site_type_symbol
_atom_site_fract_x
_atom_site_fract_y
_atom_site_fract_z
_atom_site_occupancy
Na1 Na 0.0000 0.0000 0.0000 1
Ac1 Ac 0.0000 0.0000 0.2476 1
Ac2 Ac 0.0000 0.0000 0.5000 1
Sn1 Sn 0.0000 0.5000 0.1159 1
Sn2 Sn 0.0000 0.5000 0.3727 1
Sn3 Sn 0.5000 0.5000 0.0000 1
Sn4 Sn 0.5000 0.5000 0.2426 1
Sn5 Sn 0.5000 0.5000 0.5000 1
```